No. 1
Simulated XRD peak list of Sr4Sn2Hg5 for Cu Kα, 1.54184 Å, from a crystal structure in Alexandria, relaxed with PBE.
No peak broadening, texture or thermal motion is included.

The 10 most intense peaks (5 to 70 degrees two-theta), by angle:
d 4.183, 21.2°, I 86
d 3.045, 29.3°, I 100
d 2.975, 30.0°, I 84
d 2.945, 30.4°, I 63
d 2.541, 35.3°, I 67
d 2.486, 36.1°, I 37
d 2.172, 41.6°, I 27
d 2.156, 41.9°, I 32
d 2.091, 43.3°, I 46
d 1.615, 57.0°, I 34

Structural model:
```
data_Sr4Sn2Hg5
_cell_length_a 8.491
_cell_length_b 4.183
_cell_length_c 9.974
_cell_angle_alpha 90.00
_cell_angle_beta 94.50
_cell_angle_gamma 90.00
_symmetry_space_group_name_H-M 'P 1 2/m 1'
_symmetry_Int_Tables_number 10
loop_
_symmetry_equiv_pos_as_xyz
'x,y,z'
'-x,-y,-z'
'-x,y,-z'
'x,-y,z'
loop_
_atom_site_label
_atom_site_type_symbol
_atom_site_fract_x
_atom_site_fract_y
_atom_site_fract_z
Sr1 Sr 0.229 0.000 0.142
Sr2 Sr 0.258 0.000 0.633
Sn1 Sn 0.074 0.500 0.375
Hg1 Hg 0.125 0.500 0.889
Hg2 Hg 0.427 0.500 0.361
Hg3 Hg 0.500 0.500 0.000
```

No. 2
Simulated XRD peak list of Pr3Zn4Cd4 for Cu Kα, 1.54184 Å, from a crystal structure in Alexandria, relaxed with PBE.
No peak broadening, texture or thermal motion is included.

The 10 most intense peaks (5 to 70 degrees two-theta), by angle:
d 2.810, 31.8°, I 41
d 2.747, 32.6°, I 100
d 2.354, 38.2°, I 31
d 2.300, 39.2°, I 49
d 1.912, 47.6°, I 16
d 1.804, 50.6°, I 22
d 1.484, 62.6°, I 14
d 1.470, 63.2°, I 20
d 1.423, 65.6°, I 13
d 1.348, 69.7°, I 8

Structural model:
```
data_Pr3Zn4Cd4
_cell_length_a 29.259
_cell_length_b 4.707
_cell_length_c 3.823
_cell_angle_alpha 90.00
_cell_angle_beta 97.51
_cell_angle_gamma 90.00
_symmetry_space_group_name_H-M 'C 1 2/m 1'
_symmetry_Int_Tables_number 12
loop_
_symmetry_equiv_pos_as_xyz
'x,y,z'
'-x,-y,-z'
'-x,y,-z'
'x,-y,z'
'x+1/2,y+1/2,z'
'-x+1/2,-y+1/2,-z'
'-x+1/2,y+1/2,-z'
'x+1/2,-y+1/2,z'
loop_
_atom_site_label
_atom_site_type_symbol
_atom_site_fract_x
_atom_site_fract_y
_atom_site_fract_z
Pr1 Pr 0.000 0.000 0.000
Pr2 Pr 0.144 0.500 0.143
Zn1 Zn 0.045 0.500 0.544
Zn2 Zn 0.186 0.000 0.687
Cd1 Cd 0.093 0.000 0.593
Cd2 Cd 0.242 0.500 0.742
```

No. 3
Simulated XRD peak list of BaTmAgO3 for Cu Kα, 1.54184 Å, from a crystal structure in Alexandria, relaxed with PBE.
No peak broadening, texture or thermal motion is included.

The 10 most intense peaks (5 to 70 degrees two-theta), by angle:
d 6.741, 13.1°, I 35
d 3.171, 28.1°, I 46
d 3.089, 28.9°, I 62
d 2.989, 29.9°, I 68
d 2.924, 30.6°, I 43
d 2.885, 31.0°, I 100
d 2.745, 32.6°, I 53
d 2.457, 36.6°, I 34
d 1.949, 46.6°, I 35
d 1.737, 52.7°, I 27

Structural model:
```
data_BaTmAgO3
_cell_length_a 6.961
_cell_length_b 3.593
_cell_length_c 9.260
_cell_angle_alpha 90.00
_cell_angle_beta 104.43
_cell_angle_gamma 90.00
_symmetry_space_group_name_H-M 'P 1 21/m 1'
_symmetry_Int_Tables_number 11
loop_
_symmetry_equiv_pos_as_xyz
'x,y,z'
'-x,-y,-z'
'-x,y+1/2,-z'
'x,-y+1/2,z'
loop_
_atom_site_label
_atom_site_type_symbol
_atom_site_fract_x
_atom_site_fract_y
_atom_site_fract_z
Ba1 Ba 0.044 0.250 0.307
Tm1 Tm 0.461 0.250 0.654
Ag1 Ag 0.318 0.250 0.996
O1 O 0.220 0.250 0.765
O2 O 0.314 0.750 0.496
O3 O 0.376 0.250 0.227
```

No. 4
Simulated XRD peak list of Rb2GeIBr6 for Cu Kα, 1.54184 Å, from a crystal structure in Alexandria, relaxed with PBE.
No peak broadening, texture or thermal motion is included.

The 10 most intense peaks (5 to 70 degrees two-theta), by angle:
d 5.836, 15.2°, I 34
d 4.127, 21.5°, I 19
d 4.060, 21.9°, I 35
d 3.333, 26.7°, I 81
d 2.918, 30.6°, I 100
d 2.826, 31.7°, I 48
d 2.063, 43.9°, I 33
d 2.030, 44.6°, I 65
d 1.754, 52.1°, I 16
d 1.666, 55.1°, I 31

Structural model:
```
data_Rb2GeIBr6
_cell_length_a 8.254
_cell_length_b 8.254
_cell_length_c 11.304
_cell_angle_alpha 90.00
_cell_angle_beta 90.00
_cell_angle_gamma 90.00
_symmetry_space_group_name_H-M 'I 4/m m m'
_symmetry_Int_Tables_number 139
_symmetry_space_group_name_Hall '-I 4 2'
loop_
_atom_site_label
_atom_site_type_symbol
_atom_site_fract_x
_atom_site_fract_y
_atom_site_fract_z
Rb1 Rb 0.000 0.500 0.250
Ge1 Ge 0.000 0.000 0.000
I1 I 0.000 0.000 0.500
Br1 Br 0.000 0.000 0.229
Br2 Br 0.220 0.220 0.000
```

No. 5
Simulated XRD peak list of ZrAl2Cu4 for Cu Kα, 1.54184 Å, from a crystal structure in Alexandria, relaxed with PBE.
No peak broadening, texture or thermal motion is included.

The 10 most intense peaks (5 to 70 degrees two-theta), by angle:
d 3.245, 27.5°, I 37
d 2.489, 36.1°, I 27
d 2.477, 36.3°, I 50
d 2.354, 38.2°, I 35
d 2.321, 38.8°, I 72
d 2.308, 39.0°, I 53
d 2.205, 40.9°, I 100
d 2.132, 42.4°, I 34
d 2.075, 43.6°, I 93
d 2.041, 44.4°, I 53

Structural model:
```
data_ZrAl2Cu4
_cell_length_a 5.690
_cell_length_b 4.150
_cell_length_c 8.784
_cell_angle_alpha 90.00
_cell_angle_beta 102.49
_cell_angle_gamma 90.00
_symmetry_space_group_name_H-M 'P 1 21/m 1'
_symmetry_Int_Tables_number 11
loop_
_symmetry_equiv_pos_as_xyz
'x,y,z'
'-x,-y,-z'
'-x,y+1/2,-z'
'x,-y+1/2,z'
loop_
_atom_site_label
_atom_site_type_symbol
_atom_site_fract_x
_atom_site_fract_y
_atom_site_fract_z
Zr1 Zr 0.113 0.250 0.267
Al1 Al 0.223 0.250 0.895
Al2 Al 0.352 0.750 0.550
Cu1 Cu 0.080 0.250 0.586
Cu2 Cu 0.193 0.750 0.048
Cu3 Cu 0.455 0.750 0.850
Cu4 Cu 0.482 0.750 0.299
```

No. 6
Simulated XRD peak list of Ag7Se2ClF2 for Cu Kα, 1.54184 Å, from a crystal structure in Alexandria, relaxed with PBE.
No peak broadening, texture or thermal motion is included.

The 10 most intense peaks (5 to 70 degrees two-theta), by angle:
d 3.479, 25.6°, I 61
d 2.860, 31.3°, I 100
d 2.602, 34.5°, I 43
d 2.514, 35.7°, I 75
d 2.447, 36.7°, I 90
d 2.413, 37.3°, I 50
d 2.339, 38.5°, I 97
d 2.260, 39.9°, I 72
d 1.979, 45.8°, I 51
d 1.713, 53.5°, I 44

Structural model:
```
data_Ag7Se2ClF2
_cell_length_a 4.678
_cell_length_b 20.100
_cell_length_c 5.204
_cell_angle_alpha 90.00
_cell_angle_beta 90.00
_cell_angle_gamma 90.00
_symmetry_space_group_name_H-M 'I m m 2'
_symmetry_Int_Tables_number 44
loop_
_symmetry_equiv_pos_as_xyz
'x,y,z'
'-x,-y,z'
'-x,y,z'
'x,-y,z'
'x+1/2,y+1/2,z+1/2'
'-x+1/2,-y+1/2,z+1/2'
'-x+1/2,y+1/2,z+1/2'
'x+1/2,-y+1/2,z+1/2'
loop_
_atom_site_label
_atom_site_type_symbol
_atom_site_fract_x
_atom_site_fract_y
_atom_site_fract_z
Ag1 Ag 0.000 0.000 0.000
Ag2 Ag 0.000 0.115 0.437
Ag3 Ag 0.000 0.277 0.007
Ag4 Ag 0.000 0.413 0.278
Se1 Se 0.000 0.129 0.940
Cl1 Cl 0.000 0.500 0.882
F1 F 0.000 0.241 0.468
```

No. 7
Simulated XRD peak list of NaMnGeSe4 for Cu Kα, 1.54184 Å, from a crystal structure in Alexandria, relaxed with PBE.
No peak broadening, texture or thermal motion is included.

The 10 most intense peaks (5 to 70 degrees two-theta), by angle:
d 6.787, 13.0°, I 44
d 4.075, 21.8°, I 23
d 3.394, 26.3°, I 87
d 3.365, 26.5°, I 41
d 3.275, 27.2°, I 68
d 2.808, 31.9°, I 23
d 2.070, 43.7°, I 100
d 2.038, 44.5°, I 21
d 1.937, 46.9°, I 22
d 1.682, 54.5°, I 22

Structural model:
```
data_NaMnGeSe4
_cell_length_a 8.150
_cell_length_b 12.260
_cell_length_c 7.749
_cell_angle_alpha 90.00
_cell_angle_beta 90.00
_cell_angle_gamma 90.00
_symmetry_space_group_name_H-M 'C m c m'
_symmetry_Int_Tables_number 63
_symmetry_space_group_name_Hall '-C 2c 2'
loop_
_atom_site_label
_atom_site_type_symbol
_atom_site_fract_x
_atom_site_fract_y
_atom_site_fract_z
Na1 Na 0.000 0.000 0.000
Mn1 Mn 0.000 0.369 0.250
Ge1 Ge 0.000 0.362 0.750
Se1 Se 0.000 0.247 0.000
Se2 Se 0.217 0.494 0.750
```